Record 1
For LiMn2B2O6, a structure optimized by DFT (PBE+U) gives the computed powder XRD pattern in this record (a wavelength of 1.5418 Å).
Neutral-atom scattering factors, no anomalous dispersion.

Crystal structure
a = 5.3097 Å, b = 5.7803 Å, c = 8.1129 Å
α = 78.00°, β = 90.00°, γ = 89.78°
Space group P1 (No. 1)
Asymmetric unit:
Li 0.0000 0.0000 0.0000
Li 0.2903 0.8608 0.4997
Mn 0.3508 0.5752 0.8452
Mn 0.4783 0.7083 0.2035
Mn 0.8153 0.1323 0.3018
Mn 0.9421 0.2952 0.6558
B 0.3266 0.2447 0.1740
B 0.4727 0.0763 0.8547
B 0.8267 0.7877 0.6512
B 0.9572 0.6184 0.3262
O 0.0744 0.2468 0.1399
O 0.1987 0.6043 0.3763
O 0.3096 0.2639 0.7864
O 0.3440 0.8684 0.9405
O 0.4413 0.0710 0.2946
O 0.4757 0.4188 0.0767
O 0.5715 0.7476 0.6508
O 0.7249 0.0954 0.8512
O 0.7860 0.4329 0.3790
O 0.8485 0.8243 0.2250
O 0.9390 0.9869 0.5470
O 0.9921 0.6174 0.7375

Largest 6 diffraction maxima, sorted by position, 15 to 90 degrees two-theta:
| h k l | d/Å | Position (°2θ) | intensity |
| --- | --- | --- | --- |
| 1 0 -1 | 4.414 | 20.1 | 1000 |
| 0 0 2 | 3.968 | 22.4 | 574 |
| 1 -1 0 | 3.866 | 23.0 | 729 |
| 1 -1 2 | 2.592 | 34.6 | 339 |
| 0 2 2 | 2.569 | 34.9 | 699 |
| 1 0 -3 | 2.368 | 38.0 | 293 |

***

Record 2
For LiMn2B8O14, a structure optimized by DFT (PBE+U) gives the computed powder XRD pattern in this record (a wavelength of 1.5418 Å).
Neutral-atom scattering factors, no anomalous dispersion.

Crystal structure
a = 6.4085 Å, b = 5.1472 Å, c = 7.0272 Å
α = 90.00°, β = 103.54°, γ = 90.00°
Space group Pm (No. 6)
Asymmetric unit:
Li 0.0000 0.0000 0.0000
Mn 0.2544 0.5000 0.7145
Mn 0.4912 0.0000 0.2172
B 0.0427 0.0000 0.6385
B 0.2413 0.5000 0.1925
B 0.4390 0.0000 0.8453
B 0.6231 0.5000 0.3504
B 0.6896 0.2627 0.6719
B 0.9678 0.2435 0.3168
O 0.0602 0.2287 0.5250
O 0.1421 0.2681 0.2077
O 0.2043 0.0000 0.8271
O 0.4468 0.5000 0.1619
O 0.5140 0.2327 0.7735
O 0.6013 0.2693 0.4573
O 0.8114 0.5000 0.7385
O 0.8272 0.0000 0.7130
O 0.8343 0.5000 0.2775
O 0.8505 0.0000 0.2397

Largest 6 diffraction maxima, sorted by position, 15 to 90 degrees two-theta:
| h k l | d/Å | Position (°2θ) | intensity |
| --- | --- | --- | --- |
| 1 0 -1 | 5.257 | 16.9 | 296 |
| 0 0 2 | 3.416 | 26.1 | 1000 |
| 2 0 -1 | 3.123 | 28.6 | 460 |
| 2 1 0 | 2.665 | 33.6 | 326 |
| 1 2 -1 | 2.311 | 39.0 | 316 |
| 2 2 0 | 1.985 | 45.7 | 305 |

***

Record 3
For LiMn2B2O6, a structure optimized by DFT (PBE+U) gives the computed powder XRD pattern in this record (a wavelength of 1.5418 Å).
Neutral-atom scattering factors, no anomalous dispersion.

Crystal structure
a = 5.3623 Å, b = 8.9230 Å, c = 10.3562 Å
α = 90.00°, β = 94.19°, γ = 90.00°
Space group Cc (No. 9)
Asymmetric unit:
Li 0.0000 0.0161 0.0000
Mn 0.2999 0.3468 0.2067
Mn 0.4878 0.1821 0.9491
B 0.3137 0.3133 0.6948
B 0.4734 0.1557 0.4494
O 0.0742 0.2889 0.6342
O 0.2318 0.3439 0.9802
O 0.3382 0.0280 0.4583
O 0.3589 0.2946 0.4151
O 0.4243 0.1899 0.7622
O 0.4375 0.4430 0.6822

Largest 6 diffraction maxima, sorted by position, 15 to 90 degrees two-theta:
| h k l | d/Å | Position (°2θ) | intensity |
| --- | --- | --- | --- |
| 0 2 0 | 4.462 | 19.9 | 589 |
| 1 1 1 | 4.097 | 21.7 | 1000 |
| 1 1 -2 | 3.542 | 25.1 | 430 |
| 1 1 2 | 3.327 | 26.8 | 377 |
| 1 3 0 | 2.599 | 34.5 | 476 |
| 0 0 4 | 2.582 | 34.7 | 670 |

***

Record 4
For Li5Mn6B6O18, a structure optimized by DFT (PBE+U) gives the computed powder XRD pattern in this record (a wavelength of 1.5418 Å).
Neutral-atom scattering factors, no anomalous dispersion.

Crystal structure
a = 5.1898 Å, b = 7.9870 Å, c = 9.7003 Å
α = 75.72°, β = 76.43°, γ = 88.06°
Space group P1 (No. 1)
Asymmetric unit:
Li 0.0000 0.0000 0.0000
Li 0.1498 0.6737 0.0503
Li 0.3478 0.3126 0.3441
Li 0.6734 0.6581 0.6721
Li 0.8249 0.3377 0.7118
Mn 0.2317 0.5900 0.5212
Mn 0.2623 0.4206 0.8637
Mn 0.5656 0.9215 0.8514
Mn 0.5817 0.7547 0.2023
Mn 0.8995 0.2532 0.1863
Mn 0.9288 0.0767 0.5247
B 0.0505 0.8830 0.2835
B 0.1149 0.7991 0.7528
B 0.3725 0.2043 0.6348
B 0.4556 0.1430 0.0811
B 0.7031 0.5294 0.9738
B 0.7835 0.4671 0.4164
O 0.1619 0.8688 0.8618
O 0.2083 0.3239 0.6947
O 0.2130 0.1807 0.0386
O 0.2524 0.8185 0.3488
O 0.2862 0.6776 0.7023
O 0.3092 0.1374 0.5307
O 0.5243 0.2316 0.1721
O 0.5406 0.6535 0.0238
O 0.5503 0.5095 0.3686
O 0.6104 0.1599 0.6805
O 0.6125 0.0181 0.0286
O 0.6658 0.4645 0.8607
O 0.8338 0.5298 0.5284
O 0.8852 0.8390 0.6999
O 0.9181 0.0282 0.3229
O 0.9329 0.4800 0.0315
O 0.9585 0.3549 0.3532
O 0.9812 0.8122 0.1810

Largest 6 diffraction maxima, sorted by position, 15 to 90 degrees two-theta:
| h k l | d/Å | Position (°2θ) | intensity |
| --- | --- | --- | --- |
| 1 1 1 | 4.376 | 20.3 | 931 |
| 1 0 -1 | 4.035 | 22.0 | 455 |
| 0 2 1 | 3.926 | 22.6 | 717 |
| 0 2 -2 | 2.649 | 33.8 | 1000 |
| 1 2 3 | 2.634 | 34.0 | 666 |
| 0 2 4 | 2.221 | 40.6 | 632 |